# HfCrCuS4
Theoretical X-ray diffraction stick pattern, Cu Kα (weighted mean of Kα1 and Kα2). Input: the PBE geometry in Alexandria.
Peak positions follow from Bragg's law for the DFT cell and can differ from measured ones.

Cell and atoms:
Cell: 5.9989 7.1350 6.0775 Å, 90.00 96.43 90.00°
Space group P2 (No. 3)
Asymmetric unit:
Hf1 0.0000 0.0000 0.0000 x1
Hf2 0.0000 0.2742 0.5000 x1
Cr1 0.0000 0.5088 0.0000 x1
Cr2 0.0000 0.7708 0.5000 x1
Cu1 0.5000 0.4667 0.0000 x1
Cu2 0.5000 0.9017 0.0000 x1
S1 0.2285 0.5267 0.6990 x2
S2 0.2361 0.7475 0.1988 x2
S3 0.2448 0.0071 0.6858 x2
S4 0.2448 0.2688 0.1835 x2

The 10 most intense peaks (2θ = 15–90°), sorted by position:
| 2θ (°) | d_spacing | intensity |
| --- | --- | --- |
| 19.25 | 4.610 | 32 |
| 29.07 | 3.072 | 72 |
| 31.68 | 2.824 | 34 |
| 33.57 | 2.669 | 100 |
| 40.06 | 2.251 | 50 |
| 40.97 | 2.203 | 50 |
| 43.49 | 2.081 | 52 |
| 45.07 | 2.012 | 32 |
| 52.17 | 1.753 | 43 |
| 53.49 | 1.713 | 31 |

---

# HfCrCuS4
Theoretical X-ray diffraction stick pattern, Cu Kα (weighted mean of Kα1 and Kα2). Input: the PBE geometry in Alexandria.
Peak positions follow from Bragg's law for the DFT cell and can differ from measured ones.

Cell and atoms:
Cell: 3.5917 12.8671 13.0725 Å, 90.00 90.00 90.00°
Space group Pmn2_1 (No. 31)
Asymmetric unit:
Hf1 0.0000 0.0718 0.0000 x2
Hf2 0.0000 0.6256 0.1443 x2
Cr1 0.0000 0.2417 0.4754 x2
Cr2 0.0000 0.7744 0.6749 x2
Cu1 0.0000 0.3929 0.1934 x2
Cu2 0.0000 0.9816 0.2260 x2
S1 0.0000 0.2397 0.6619 x2
S2 0.0000 0.2446 0.2909 x2
S3 0.0000 0.2629 0.0546 x2
S4 0.0000 0.4995 0.7072 x2
S5 0.0000 0.6262 0.9642 x2
S6 0.0000 0.8790 0.9720 x2
S7 0.0000 0.8961 0.3729 x2
S8 0.0000 0.9528 0.6461 x2

The 10 most intense peaks (2θ = 15–90°), sorted by position:
| 2θ (°) | d_spacing | intensity |
| --- | --- | --- |
| 15.20 | 5.827 | 81 |
| 15.35 | 5.772 | 100 |
| 25.72 | 3.463 | 48 |
| 27.29 | 3.268 | 25 |
| 29.25 | 3.054 | 43 |
| 33.06 | 2.709 | 55 |
| 33.25 | 2.695 | 37 |
| 38.18 | 2.357 | 40 |
| 50.87 | 1.795 | 37 |
| 51.75 | 1.767 | 32 |